This entry pairs a crystal structure of FeRhO with its theoretical X-ray powder pattern. Radiation: Cu Ka. Structure: a crystal structure in Alexandria, relaxed with GGA+U.

Structure:
Unit cell a=17.386 b=2.888 c=2.883 alpha=90.00 beta=90.00 gamma=90.00
Space group Pnma (No. 62)
Unique sites:
1 Fe 0.176 0.250 0.249 x4
2 Rh 0.049 0.750 0.751 x4
3 O 0.187 0.750 0.750 x4

Largest 10 diffraction maxima, by angle, 10 to 90 degrees two-theta:
d/Å, 2theta, Rel. int., (hkl)
8.693, 10.2, 40, 2 0 0
2.404, 37.4, 100, 4 1 0
2.173, 41.6, 20, 8 0 0
2.045, 44.3, 27, 6 1 0
2.040, 44.4, 50, 0 1 1
1.488, 62.4, 26, 8 1 1
1.444, 64.5, 8, 0 2 0
1.441, 64.7, 8, 0 0 2
1.237, 77.1, 23, 4 2 1
1.179, 81.7, 8, 6 2 1